# ErUTeN2
Theoretical PXRD pattern, Cu Kα. Input: the GGA-PBE geometry in Alexandria.
Intensities are scaled so that the largest is 100.

The 6 most intense peaks (10 to 90 degrees two-theta), in order of falling intensity:
2θ = 31.39°, intensity 100; 2θ = 32.44°, intensity 41; 2θ = 57.22°, intensity 37; 2θ = 55.21°, intensity 22; 2θ = 46.54°, intensity 19; 2θ = 65.52°, intensity 12

Atomic structure:
```
data_ErUTeN2
_chemical_formula_sum 'Er1 U1 Te1 N2'
_symmetry_space_group_name_H-M 'P 1'
_symmetry_Int_Tables_number 1
_symmetry_space_group_name_Hall 'P 1'
_cell_length_a 6.837
_cell_length_b 6.837
_cell_length_c 6.837
_cell_angle_alpha 146.83
_cell_angle_beta 146.83
_cell_angle_gamma 47.61
loop_
_atom_site_label
_atom_site_fract_x
_atom_site_fract_y
_atom_site_fract_z
Er1 0.000 0.000 0.000
U1 0.329 0.329 0.000
Te1 0.665 0.665 0.000
N1 0.406 0.906 0.500
N2 0.906 0.406 0.500
```